Entry 1:
Simulated powder X-ray diffraction pattern
Compound: Co9Sb
Radiation: λ = 1.5418 Å (Cu Kα)
Structure: a crystal structure in OQMD, relaxed with PBE
Neutral-atom scattering factors, no anomalous dispersion.

Structure:
```
data_Co9Sb
_space_group_name_H-M_alt 'P 1'
_space_group_IT_number 1
_cell_length_a 2.6116
_cell_length_b 3.3753
_cell_length_c 33.2197
_cell_angle_alpha 90.00
_cell_angle_beta 90.00
_cell_angle_gamma 90.00
loop_
_space_group_symop_operation_xyz
'x,y,z'
loop_
_atom_site_label
_atom_site_type_symbol
_atom_site_fract_x
_atom_site_fract_y
_atom_site_fract_z
Co1 Co 0.2500 0.2500 0.0186
Co2 Co 0.2500 0.2500 0.0930
Co3 Co 0.2500 0.2500 0.1670
Co4 Co 0.2500 0.2500 0.2403
Co5 Co 0.2500 0.2500 0.3145
Co6 Co 0.2500 0.2500 0.7219
Co7 Co 0.2500 0.2500 0.7952
Co8 Co 0.2500 0.2500 0.8703
Co9 Co 0.2500 0.2500 0.9439
Co10 Co 0.7500 0.7500 0.0561
Co11 Co 0.7500 0.7500 0.1297
Co12 Co 0.7500 0.7500 0.2048
Co13 Co 0.7500 0.7500 0.2781
Co14 Co 0.7500 0.7500 0.6855
Co15 Co 0.7500 0.7500 0.7597
Co16 Co 0.7500 0.7500 0.8330
Co17 Co 0.7500 0.7500 0.9070
Co18 Co 0.7500 0.7500 0.9814
Sb1 Sb 0.2500 0.2500 0.6371
Sb2 Sb 0.7500 0.7500 0.3629
```

The 10 most intense peaks (10 to 90 degrees two-theta), sorted by position:
(1 1 0), 2θ 43.84, intensity 1000
(1 0 10), 2θ 44.16, intensity 118
(0 1 13), 2θ 44.47, intensity 644
(0 1 14), 2θ 46.80, intensity 254
(1 0 13), 2θ 49.93, intensity 449
(1 0 14), 2θ 52.08, intensity 186
(0 2 0), 2θ 54.37, intensity 253
(1 2 13), 2θ 76.92, intensity 227
(1 2 14), 2θ 78.62, intensity 97
(2 1 13), 2θ 89.05, intensity 157

Entry 2:
Simulated powder X-ray diffraction pattern
Compound: CoSb2
Radiation: λ = 1.5418 Å (Cu Kα)
Structure: a crystal structure in OQMD, relaxed with PBE
Neutral-atom scattering factors, no anomalous dispersion.

Structure:
```
data_CoSb2
_space_group_name_H-M_alt 'P 1'
_space_group_IT_number 1
_cell_length_a 5.6026
_cell_length_b 6.4037
_cell_length_c 3.3951
_cell_angle_alpha 90.00
_cell_angle_beta 90.00
_cell_angle_gamma 90.00
loop_
_space_group_symop_operation_xyz
'x,y,z'
loop_
_atom_site_label
_atom_site_type_symbol
_atom_site_fract_x
_atom_site_fract_y
_atom_site_fract_z
Co1 Co 0.0000 0.0000 0.0000
Co2 Co 0.5000 0.5000 0.5000
Sb1 Sb 0.2010 0.3564 0.0000
Sb2 Sb 0.2990 0.8564 0.5000
Sb3 Sb 0.7010 0.1436 0.5000
Sb4 Sb 0.7990 0.6436 0.0000
```

The 10 most intense peaks (10 to 90 degrees two-theta), sorted by position:
(0 1 1), 2θ 29.78, intensity 164
(1 0 1), 2θ 30.79, intensity 365
(1 2 0), 2θ 32.20, intensity 883
(1 1 1), 2θ 33.90, intensity 1000
(2 1 0), 2θ 34.96, intensity 169
(2 1 1), 2θ 44.24, intensity 488
(0 3 1), 2θ 50.50, intensity 382
(3 1 0), 2θ 50.96, intensity 329
(0 0 2), 2θ 54.02, intensity 195
(1 2 2), 2θ 64.30, intensity 233

Entry 3:
Simulated powder X-ray diffraction pattern
Compound: SmCoSb3
Radiation: λ = 1.5418 Å (Cu Kα)
Structure: a crystal structure in OQMD, relaxed with PBE
Neutral-atom scattering factors, no anomalous dispersion.

Structure:
```
data_SmCoSb3
_space_group_name_H-M_alt 'P 1'
_space_group_IT_number 1
_cell_length_a 12.6076
_cell_length_b 6.1532
_cell_length_c 12.0969
_cell_angle_alpha 90.00
_cell_angle_beta 90.00
_cell_angle_gamma 90.00
loop_
_space_group_symop_operation_xyz
'x,y,z'
loop_
_atom_site_label
_atom_site_type_symbol
_atom_site_fract_x
_atom_site_fract_y
_atom_site_fract_z
Sm1 Sm 0.1967 0.2239 0.2500
Sm2 Sm 0.1967 0.2761 0.7500
Sm3 Sm 0.2002 0.7500 0.0000
Sm4 Sm 0.2002 0.7500 0.5000
Sm5 Sm 0.7998 0.2500 0.0000
Sm6 Sm 0.7998 0.2500 0.5000
Sm7 Sm 0.8033 0.7239 0.2500
Sm8 Sm 0.8033 0.7761 0.7500
Co1 Co 0.4003 0.0373 0.6356
Co2 Co 0.4003 0.0373 0.8644
Co3 Co 0.4003 0.4627 0.1356
Co4 Co 0.4003 0.4627 0.3644
Co5 Co 0.5997 0.5373 0.6356
Co6 Co 0.5997 0.5373 0.8644
Co7 Co 0.5997 0.9627 0.1356
Co8 Co 0.5997 0.9627 0.3644
Sb1 Sb 0.0026 0.0131 0.6242
Sb2 Sb 0.0026 0.0131 0.8758
Sb3 Sb 0.0026 0.4869 0.1242
Sb4 Sb 0.0026 0.4869 0.3758
Sb5 Sb 0.2773 0.2500 0.0000
Sb6 Sb 0.2773 0.2500 0.5000
Sb7 Sb 0.2831 0.7340 0.2500
Sb8 Sb 0.2831 0.7660 0.7500
Sb9 Sb 0.4443 0.1151 0.2500
Sb10 Sb 0.4443 0.3849 0.7500
Sb11 Sb 0.4721 0.7500 0.0000
Sb12 Sb 0.4721 0.7500 0.5000
Sb13 Sb 0.5279 0.2500 0.0000
Sb14 Sb 0.5279 0.2500 0.5000
Sb15 Sb 0.5557 0.6151 0.2500
Sb16 Sb 0.5557 0.8849 0.7500
Sb17 Sb 0.7169 0.2340 0.2500
Sb18 Sb 0.7169 0.2660 0.7500
Sb19 Sb 0.7227 0.7500 0.0000
Sb20 Sb 0.7227 0.7500 0.5000
Sb21 Sb 0.9974 0.5131 0.6242
Sb22 Sb 0.9974 0.5131 0.8758
Sb23 Sb 0.9974 0.9869 0.1242
Sb24 Sb 0.9974 0.9869 0.3758
```

The 10 most intense peaks (10 to 90 degrees two-theta), sorted by position:
(4 0 0), 2θ 28.32, intensity 312
(1 0 4), 2θ 30.39, intensity 214
(2 2 0), 2θ 32.38, intensity 662
(2 0 4), 2θ 32.84, intensity 488
(4 1 2), 2θ 35.27, intensity 1000
(3 2 0), 2θ 36.18, intensity 289
(3 0 4), 2θ 36.61, intensity 379
(0 2 4), 2θ 41.89, intensity 799
(4 2 4), 2θ 51.33, intensity 224
(4 1 6), 2θ 56.17, intensity 343